For HoAlNi, a structure optimized by DFT (PBE) gives the theoretical powder X-ray diffraction pattern in this record (Cu Kα X-rays).

Principal peaks in the range 2θ = 10–90°, most intense first:
d (Å)  2theta  I/Imax
2.586  34.68  100
2.374  37.90  100
3.455  25.79  38
1.527  60.64  37
2.992  29.86  36
2.262  39.86  32
3.901  22.79  30
1.660  55.36  26
1.951  46.56  23
1.264  75.17  21

Structure:
Lattice parameters (Å, degrees): 6.9092 6.9092 3.9012 90.00 90.00 120.00
Element x y z (fractional)
Ho 0.0000 0.4168 0.0000
Ho 0.4168 0.0000 0.0000
Ho 0.5832 0.5832 0.0000
Al 0.0000 0.7645 0.5000
Al 0.2355 0.2355 0.5000
Al 0.7645 0.0000 0.5000
Ni 0.0000 0.0000 0.0000
Ni 0.3333 0.6667 0.5000
Ni 0.6667 0.3333 0.5000

For HoAlNi, a structure optimized by DFT (PBE) gives the theoretical powder X-ray diffraction pattern in this record (Cu Kα X-rays).

Principal peaks in the range 2θ = 10–90°, most intense first:
d (Å)  2theta  I/Imax
2.410  37.31  100
2.252  40.04  69
2.658  33.72  42
2.234  40.37  36
2.683  33.40  28
2.267  39.77  28
3.127  28.55  25
4.632  19.16  21
4.589  19.34  18
1.368  68.60  18

Structure:
Lattice parameters (Å, degrees): 8.4762 5.3160 5.3160 60.62 90.00 90.00
Element x y z (fractional)
Ho 0.1765 0.0000 0.0000
Ho 0.2944 0.3367 0.3367
Ho 0.7056 0.3367 0.3367
Ho 0.8235 0.0000 0.0000
Al 0.2388 0.6736 0.6736
Al 0.5000 0.3286 0.8371
Al 0.5000 0.8371 0.3286
Al 0.7612 0.6736 0.6736
Ni 0.0000 0.0064 0.5014
Ni 0.0000 0.5014 0.0064
Ni 0.0000 0.5022 0.5022
Ni 0.5000 0.8379 0.8379

For Ho3AlNi8, a structure optimized by DFT (PBE) gives the theoretical powder X-ray diffraction pattern in this record (Cu Kα X-rays).

Principal peaks in the range 2θ = 10–90°, most intense first:
d (Å)  2theta  I/Imax
2.129  42.47  100
2.572  34.89  100
2.519  35.64  63
2.162  41.79  49
2.017  44.93  49
1.464  63.53  34
1.260  75.47  27
1.366  68.71  23
2.182  41.38  23
1.346  69.90  22

Structure:
Lattice parameters (Å, degrees): 5.0387 5.0387 15.9172 90.00 90.00 120.00
Element x y z (fractional)
Ho 0.3333 0.6667 0.0451
Ho 0.3333 0.6667 0.2500
Ho 0.3333 0.6667 0.4549
Ho 0.6667 0.3333 0.5451
Ho 0.6667 0.3333 0.7500
Ho 0.6667 0.3333 0.9549
Al 0.0000 0.0000 0.0000
Al 0.0000 0.0000 0.5000
Ni 0.0000 0.0000 0.2500
Ni 0.0000 0.0000 0.7500
Ni 0.1696 0.3391 0.6249
Ni 0.1696 0.3391 0.8751
Ni 0.1696 0.8304 0.6249
Ni 0.1696 0.8304 0.8751
Ni 0.3333 0.6667 0.7500
Ni 0.3391 0.1696 0.1249
Ni 0.3391 0.1696 0.3751
Ni 0.6609 0.8304 0.6249
Ni 0.6609 0.8304 0.8751
Ni 0.6667 0.3333 0.2500
Ni 0.8304 0.1696 0.1249
Ni 0.8304 0.1696 0.3751
Ni 0.8304 0.6609 0.1249
Ni 0.8304 0.6609 0.3751

For HoAlO3, a structure optimized by DFT (PBE) gives the theoretical powder X-ray diffraction pattern in this record (Cu Kα X-rays).

Principal peaks in the range 2θ = 10–90°, most intense first:
d (Å)  2theta  I/Imax
2.633  34.05  100
3.736  23.82  58
3.711  23.98  35
2.127  42.49  27
2.596  34.55  25
3.337  26.71  23
1.506  61.59  22
1.652  55.63  21
1.868  48.75  21
2.178  41.46  19

Structure:
Lattice parameters (Å, degrees): 5.3790 7.4225 5.1924 90.00 90.00 90.00
Element x y z (fractional)
Ho 0.0574 0.2500 0.0142
Ho 0.4426 0.7500 0.5142
Ho 0.5574 0.2500 0.4858
Ho 0.9426 0.7500 0.9858
Al 0.0000 0.0000 0.5000
Al 0.0000 0.5000 0.5000
Al 0.5000 0.0000 0.0000
Al 0.5000 0.5000 0.0000
O 0.0251 0.7500 0.4099
O 0.2043 0.5473 0.7960
O 0.2043 0.9527 0.7960
O 0.2957 0.0473 0.2960
O 0.2957 0.4527 0.2960
O 0.4749 0.2500 0.9099
O 0.5251 0.7500 0.0901
O 0.7043 0.5473 0.7040
O 0.7043 0.9527 0.7040
O 0.7957 0.0473 0.2040
O 0.7957 0.4527 0.2040
O 0.9749 0.2500 0.5901

For Ho4Al2O9, a structure optimized by DFT (PBE) gives the theoretical powder X-ray diffraction pattern in this record (Cu Kα X-rays).

Principal peaks in the range 2θ = 10–90°, most intense first:
d (Å)  2theta  I/Imax
2.930  30.51  100
3.038  29.40  97
4.724  18.78  41
7.467  11.85  25
3.341  26.68  24
2.074  43.65  21
1.858  49.03  16
1.842  49.49  16
1.830  49.83  16
1.737  52.71  16

Structure:
Lattice parameters (Å, degrees): 7.4320 10.5509 11.1604 90.00 108.74 90.00
Element x y z (fractional)
Ho 0.0231 0.0917 0.3066
Ho 0.0231 0.4083 0.8066
Ho 0.1635 0.6218 0.5866
Ho 0.1635 0.8782 0.0866
Ho 0.3368 0.1239 0.9337
Ho 0.3368 0.3761 0.4337
Ho 0.4769 0.6055 0.2153
Ho 0.4769 0.8945 0.7153
Ho 0.5231 0.1055 0.2847
Ho 0.5231 0.3945 0.7847
Ho 0.6632 0.6239 0.5663
Ho 0.6632 0.8761 0.0663
Ho 0.8365 0.1218 0.9134
Ho 0.8365 0.3782 0.4134
Ho 0.9769 0.5917 0.1934
Ho 0.9769 0.9083 0.6934
Al 0.2171 0.1863 0.6287
Al 0.2171 0.3137 0.1287
Al 0.3451 0.6839 0.8852
Al 0.3451 0.8161 0.3852
Al 0.6549 0.1839 0.6148
Al 0.6549 0.3161 0.1148
Al 0.7829 0.6863 0.8713
Al 0.7829 0.8137 0.3713
O 0.0707 0.2343 0.4788
O 0.0707 0.2657 0.9788
O 0.0768 0.5054 0.3935
O 0.0768 0.9946 0.8935
O 0.2118 0.7288 0.2514
O 0.2118 0.7712 0.7514
O 0.2158 0.0245 0.6623
O 0.2158 0.4755 0.1623
O 0.2327 0.2304 0.2701
O 0.2327 0.2696 0.7701
O 0.3004 0.5257 0.8324
O 0.3004 0.9743 0.3324
O 0.3609 0.7297 0.0398
O 0.3609 0.7703 0.5398
O 0.4327 0.2456 0.6146
O 0.4327 0.2544 0.1146
O 0.4337 0.5085 0.6052
O 0.4337 0.9915 0.1052
O 0.5663 0.0085 0.8948
O 0.5663 0.4915 0.3948
O 0.5673 0.7456 0.8854
O 0.5673 0.7544 0.3854
O 0.6391 0.2297 0.4602
O 0.6391 0.2703 0.9602
O 0.6996 0.0257 0.6676
O 0.6996 0.4743 0.1676
O 0.7673 0.7304 0.2299
O 0.7673 0.7696 0.7299
O 0.7842 0.5245 0.8377
O 0.7842 0.9755 0.3377
O 0.7882 0.2288 0.2486
O 0.7882 0.2712 0.7486
O 0.9232 0.0054 0.1065
O 0.9232 0.4946 0.6065
O 0.9293 0.7343 0.0212
O 0.9293 0.7657 0.5212

For Ho2AlOs, a structure optimized by DFT (PBE) gives the theoretical powder X-ray diffraction pattern in this record (Cu Kα X-rays).

Principal peaks in the range 2θ = 10–90°, most intense first:
d (Å)  2theta  I/Imax
2.463  36.49  100
1.422  65.67  36
4.021  22.11  20
1.741  52.56  18
1.101  88.86  17
1.231  77.53  11
2.100  43.07  11
3.483  25.58  5
1.598  57.69  5
1.177  81.81  4

Structure:
Lattice parameters (Å, degrees): 6.9650 6.9650 6.9650 90.00 90.00 90.00
Element x y z (fractional)
Ho 0.2500 0.2500 0.2500
Ho 0.2500 0.2500 0.7500
Ho 0.2500 0.7500 0.2500
Ho 0.2500 0.7500 0.7500
Ho 0.7500 0.2500 0.2500
Ho 0.7500 0.2500 0.7500
Ho 0.7500 0.7500 0.2500
Ho 0.7500 0.7500 0.7500
Al 0.0000 0.0000 0.0000
Al 0.0000 0.5000 0.5000
Al 0.5000 0.0000 0.5000
Al 0.5000 0.5000 0.0000
Os 0.0000 0.0000 0.5000
Os 0.0000 0.5000 0.0000
Os 0.5000 0.0000 0.0000
Os 0.5000 0.5000 0.5000